For Pm4Ga3Au, a crystal structure in Alexandria, relaxed with PBE gives the calculated powder diffraction line list in this record (CuKα).
Lines closer than 0.1° are merged.

Top 10 peaks for 2θ = 10–90°, by intensity:
| 2θ (°) | I_rel |
| --- | --- |
| 30.49 | 100 |
| 38.09 | 85 |
| 31.68 | 61 |
| 53.46 | 28 |
| 41.89 | 25 |
| 42.27 | 24 |
| 70.06 | 17 |
| 61.03 | 16 |
| 77.15 | 16 |
| 61.44 | 16 |

Structural model:
Unit cell a=4.2760 b=4.3128 c=11.2897 alpha=90.00 beta=90.00 gamma=90.00
Positions (direct):
Pm  0.0000  0.0000  0.0000
Pm  0.0000  0.5000  0.2808
Pm  0.5000  0.0000  0.4982
Pm  0.5000  0.5000  0.7831
Ga  0.0000  0.0000  0.7119
Ga  0.0000  0.5000  0.5692
Ga  0.5000  0.5000  0.0597
Au  0.5000  0.0000  0.2183

For CeHo2Th12, a crystal structure in Alexandria, relaxed with PBE gives the calculated powder diffraction line list in this record (CuKα).
Lines closer than 0.1° are merged.

Top 10 peaks for 2θ = 10–90°, by intensity:
| 2θ (°) | I_rel |
| --- | --- |
| 31.01 | 100 |
| 32.74 | 47 |
| 37.29 | 32 |
| 29.55 | 31 |
| 33.48 | 22 |
| 63.66 | 15 |
| 62.65 | 14 |
| 52.95 | 13 |
| 55.18 | 11 |
| 56.29 | 11 |

Structural model:
Unit cell a=3.4587 b=5.7643 c=24.8572 alpha=90.00 beta=90.00 gamma=90.00
Positions (direct):
Ce  0.0000  0.0000  0.0000
Ho  0.0000  0.0000  0.2634
Ho  0.0000  0.0000  0.7366
Th  0.0000  0.5000  0.0673
Th  0.0000  0.5000  0.4366
Th  0.0000  0.5000  0.5634
Th  0.0000  0.5000  0.9327
Th  0.5000  0.0000  0.1249
Th  0.5000  0.0000  0.4154
Th  0.5000  0.0000  0.5846
Th  0.5000  0.0000  0.8751
Th  0.5000  0.5000  0.1931
Th  0.5000  0.5000  0.3203
Th  0.5000  0.5000  0.6797
Th  0.5000  0.5000  0.8069

For LiHo6Co2, a crystal structure in Alexandria, relaxed with PBE gives the calculated powder diffraction line list in this record (CuKα).
Lines closer than 0.1° are merged.

Top 10 peaks for 2θ = 10–90°, by intensity:
| 2θ (°) | I_rel |
| --- | --- |
| 32.44 | 100 |
| 34.88 | 53 |
| 35.35 | 53 |
| 34.73 | 49 |
| 26.37 | 42 |
| 28.73 | 34 |
| 30.36 | 30 |
| 35.74 | 30 |
| 60.71 | 29 |
| 41.19 | 29 |

Structural model:
Unit cell a=8.2899 b=8.2899 c=8.2899 alpha=111.91 beta=109.56 gamma=106.99
Positions (direct):
Li  0.0000  0.0000  0.0000
Li  0.5000  0.5000  0.0000
Ho  0.0332  0.2331  0.8001
Ho  0.1807  0.2815  0.4622
Ho  0.1807  0.7185  0.8992
Ho  0.3208  0.0056  0.6848
Ho  0.3208  0.6360  0.3152
Ho  0.4330  0.2331  0.1999
Ho  0.5670  0.7669  0.8001
Ho  0.6792  0.3640  0.6848
Ho  0.6792  0.9944  0.3152
Ho  0.8193  0.2815  0.1008
Ho  0.8193  0.7185  0.5378
Ho  0.9668  0.7669  0.1999
Co  0.1145  0.6145  0.5000
Co  0.3326  0.0000  0.3326
Co  0.6674  0.0000  0.6674
Co  0.8855  0.3855  0.5000

For Ac13Y3, a crystal structure in Alexandria, relaxed with PBE gives the calculated powder diffraction line list in this record (CuKα).
Lines closer than 0.1° are merged.

Top 10 peaks for 2θ = 10–90°, by intensity:
| 2θ (°) | I_rel |
| --- | --- |
| 27.90 | 100 |
| 32.01 | 18 |
| 32.38 | 17 |
| 32.60 | 17 |
| 54.57 | 16 |
| 55.06 | 16 |
| 55.35 | 15 |
| 57.66 | 14 |
| 46.17 | 13 |
| 46.34 | 13 |

Structural model:
Unit cell a=11.1854 b=7.7941 c=7.7941 alpha=89.62 beta=90.00 gamma=90.00
Positions (direct):
Ac  0.0000  0.0000  0.0000
Ac  0.0000  0.0011  0.4905
Ac  0.0000  0.4905  0.0011
Ac  0.0000  0.4921  0.4921
Ac  0.2514  0.7467  0.7467
Ac  0.2542  0.2428  0.7484
Ac  0.2542  0.7484  0.2428
Ac  0.5000  0.4893  0.9985
Ac  0.5000  0.4914  0.4914
Ac  0.5000  0.9985  0.4893
Ac  0.7458  0.2428  0.7484
Ac  0.7458  0.7484  0.2428
Ac  0.7486  0.7467  0.7467
Y  0.2552  0.2424  0.2424
Y  0.5000  0.0000  0.0000
Y  0.7448  0.2424  0.2424